Entry 1:
Starting from a structure optimized by DFT (PBE), the powder X-ray diffraction pattern of Ca2NbO6F was calculated for Cu Kα, 1.54184 Å.
Neutral-atom scattering factors, no anomalous dispersion.

Cell and atoms:
```
20
Lattice="-3.6464 3.8258 5.0945 3.6464 -3.8258 5.0945 3.6464 3.8258 -5.0945" Properties=species:S:1:pos:R:3 pbc="T T T"
Ca 0.0000 0.0000 0.0000
Ca -1.8232 1.9129 2.5473
Ca 0.0000 3.8258 0.0000
Ca 1.8232 1.9129 2.5473
Nb 3.6464 0.0000 0.0000
Nb 0.0000 0.0000 5.0945
O 3.6464 -1.9129 3.4295
O 2.0676 -0.2319 1.2035
O 5.2253 -0.2319 1.2035
O 3.6464 1.9129 0.7362
O 2.0676 3.5939 -1.2035
O 1.5789 -0.2319 3.8911
O 2.0676 4.0577 1.2035
O 1.5789 0.2319 6.2980
O 0.0000 1.9129 4.3584
O -1.5789 4.0577 3.8911
O 1.5789 4.0577 3.8911
O 0.0000 5.7387 1.6651
F 0.0000 1.9129 1.2706
F 3.6464 1.9129 3.8239
```

Top 6 peaks for 10 to 90 degrees two-theta, sorted by position:
- 14.94 deg, I = 46
- 17.41 deg, I = 58
- 27.75 deg, I = 34
- 29.19 deg, I = 100
- 30.14 deg, I = 86
- 49.74 deg, I = 85


Entry 2:
Starting from a structure optimized by DFT (PBE), the powder X-ray diffraction pattern of Li3Eu was calculated for Cu Kα, 1.54184 Å.
Neutral-atom scattering factors, no anomalous dispersion.

Cell and atoms:
```
8
Lattice="6.9244 0.0000 0.0000 -3.4622 5.9967 0.0000 0.0000 0.0000 5.3913" Properties=species:S:1:pos:R:3 pbc="T T T"
Li 0.0000 1.7416 1.3478
Li -1.9540 5.1260 1.3478
Li 1.5082 0.8708 4.0435
Li 1.9540 5.1260 1.3478
Li 5.4162 0.8708 4.0435
Li 3.4622 4.2552 4.0435
Eu 0.0000 3.9978 4.0435
Eu 3.4622 1.9989 1.3478
```

Top 6 peaks for 10 to 90 degrees two-theta, sorted by position:
- 14.77 deg, I = 38
- 22.17 deg, I = 100
- 25.73 deg, I = 46
- 34.22 deg, I = 43
- 42.50 deg, I = 25
- 43.30 deg, I = 33